1.
# Li2BiPCO7
Calculated X-ray diffraction stick pattern, Cu Ka. Input: a cell relaxed with PBE.
Lines closer than 0.1° are merged.

Most intense lines, 2θ = 10–90°, in order of rising 2θ:
2θ (°)	I_rel
16.08	96
20.00	100
21.74	97
23.30	36
25.85	84
26.11	55
26.27	43
32.89	48

Atomic structure:
a = 5.076 Å, b = 6.893 Å, c = 9.171 Å
α = 90.00°, β = 90.33°, γ = 90.00°
Positions (direct):
1 Li 0.217 0.049 0.283
2 Li 0.217 0.451 0.283
3 Li 0.783 0.549 0.717
4 Li 0.783 0.951 0.717
5 Bi 0.237 0.250 0.866
6 Bi 0.763 0.750 0.134
7 P 0.263 0.750 0.895
8 P 0.737 0.250 0.105
9 C 0.259 0.250 0.568
10 C 0.741 0.750 0.432
11 O 0.035 0.250 0.641
12 O 0.118 0.571 0.830
13 O 0.118 0.929 0.830
14 O 0.232 0.750 0.066
15 O 0.264 0.250 0.431
16 O 0.441 0.250 0.140
17 O 0.475 0.250 0.649
18 O 0.525 0.750 0.351
19 O 0.559 0.750 0.860
20 O 0.736 0.750 0.569
21 O 0.768 0.250 0.934
22 O 0.882 0.071 0.170
23 O 0.882 0.429 0.170
24 O 0.965 0.750 0.359


2.
# Li3SiBiCO7
Calculated X-ray diffraction stick pattern, Cu Ka. Input: a cell relaxed with PBE.
Lines closer than 0.1° are merged.

Most intense lines, 2θ = 10–90°, in order of rising 2θ:
2θ (°)	I_rel
15.79	100
20.05	48
20.69	62
21.78	97
23.24	44
24.92	98
26.11	50
37.15	46

Atomic structure:
a = 4.974 Å, b = 7.145 Å, c = 9.071 Å
α = 90.00°, β = 92.11°, γ = 90.00°
Positions (direct):
1 Li 0.221 0.070 0.237
2 Li 0.221 0.430 0.237
3 Li 0.248 0.750 0.579
4 Li 0.752 0.250 0.421
5 Li 0.779 0.570 0.763
6 Li 0.779 0.930 0.763
7 Si 0.284 0.750 0.896
8 Si 0.716 0.250 0.104
9 Bi 0.231 0.250 0.851
10 Bi 0.769 0.750 0.149
11 C 0.286 0.250 0.532
12 C 0.714 0.750 0.468
13 O 0.044 0.250 0.579
14 O 0.168 0.570 0.799
15 O 0.168 0.930 0.799
16 O 0.207 0.750 0.073
17 O 0.330 0.250 0.390
18 O 0.381 0.250 0.099
19 O 0.494 0.250 0.622
20 O 0.506 0.750 0.378
21 O 0.619 0.750 0.901
22 O 0.670 0.750 0.610
23 O 0.793 0.250 0.927
24 O 0.832 0.070 0.201
25 O 0.832 0.430 0.201
26 O 0.956 0.750 0.421


3.
# Mg14BiC
Calculated X-ray diffraction stick pattern, Cu Ka. Input: a cell relaxed with PBE.
Lines closer than 0.1° are merged.

Most intense lines, 2θ = 10–90°, in order of rising 2θ:
2θ (°)	I_rel
15.18	50
17.75	79
18.38	37
23.89	51
28.91	36
35.94	100
37.16	27
37.32	27

Atomic structure:
a = 9.678 Å, b = 6.529 Å, c = 6.529 Å
α = 63.36°, β = 90.00°, γ = 90.00°
Positions (direct):
1 Mg 0.000 0.000 0.000
2 Mg 0.000 0.023 0.484
3 Mg 0.000 0.484 0.023
4 Mg 0.000 0.497 0.497
5 Mg 0.236 0.679 0.679
6 Mg 0.266 0.155 0.701
7 Mg 0.266 0.701 0.155
8 Mg 0.274 0.170 0.170
9 Mg 0.500 0.506 0.961
10 Mg 0.500 0.961 0.506
11 Mg 0.726 0.170 0.170
12 Mg 0.734 0.155 0.701
13 Mg 0.734 0.701 0.155
14 Mg 0.764 0.679 0.679
15 Bi 0.500 0.483 0.483
16 C 0.500 0.140 0.140


4.
# Mg6BiC
Calculated X-ray diffraction stick pattern, Cu Ka. Input: a cell relaxed with PBE.
Lines closer than 0.1° are merged.

Most intense lines, 2θ = 10–90°, in order of rising 2θ:
2θ (°)	I_rel
16.08	42
16.28	100
18.07	32
24.42	95
33.66	40
37.42	43
37.79	83
40.29	32

Atomic structure:
a = 4.908 Å, b = 6.340 Å, c = 6.340 Å
α = 59.16°, β = 90.00°, γ = 90.00°
Positions (direct):
1 Mg 0.000 0.000 0.000
2 Mg 0.000 0.018 0.476
3 Mg 0.000 0.476 0.018
4 Mg 0.000 0.485 0.485
5 Mg 0.500 0.329 0.826
6 Mg 0.500 0.826 0.329
7 Bi 0.500 0.828 0.828
8 C 0.500 0.330 0.330


5.
# Mg14BiC
Calculated X-ray diffraction stick pattern, Cu Ka. Input: a cell relaxed with PBE.
Lines closer than 0.1° are merged.

Most intense lines, 2θ = 10–90°, in order of rising 2θ:
2θ (°)	I_rel
14.87	55
17.29	90
23.15	46
30.08	31
30.60	23
34.83	25
35.02	100
35.70	27

Atomic structure:
a = 10.060 Å, b = 6.313 Å, c = 6.313 Å
α = 70.63°, β = 90.00°, γ = 90.00°
Positions (direct):
1 Mg 0.000 0.000 0.000
2 Mg 0.000 0.494 0.494
3 Mg 0.000 0.521 0.969
4 Mg 0.000 0.969 0.521
5 Mg 0.232 0.294 0.294
6 Mg 0.249 0.283 0.804
7 Mg 0.249 0.804 0.283
8 Mg 0.280 0.793 0.793
9 Mg 0.500 0.058 0.474
10 Mg 0.500 0.474 0.058
11 Mg 0.720 0.793 0.793
12 Mg 0.751 0.283 0.804
13 Mg 0.751 0.804 0.283
14 Mg 0.768 0.294 0.294
15 Bi 0.500 0.534 0.534
16 C 0.500 0.776 0.776


6.
# Mg14BiC
Calculated X-ray diffraction stick pattern, Cu Ka. Input: a cell relaxed with PBE.
Lines closer than 0.1° are merged.

Most intense lines, 2θ = 10–90°, in order of rising 2θ:
2θ (°)	I_rel
16.19	44
18.44	80
24.01	32
29.62	30
31.26	29
32.71	30
35.67	23
37.39	100

Atomic structure:
a = 6.323 Å, b = 6.323 Å, c = 10.068 Å
α = 90.00°, β = 90.00°, γ = 120.00°
Positions (direct):
1 Mg 0.000 0.000 0.249
2 Mg 0.000 0.000 0.751
3 Mg 0.009 0.504 0.275
4 Mg 0.009 0.504 0.725
5 Mg 0.321 0.161 0.500
6 Mg 0.337 0.169 0.000
7 Mg 0.496 0.504 0.275
8 Mg 0.496 0.504 0.725
9 Mg 0.496 0.991 0.275
10 Mg 0.496 0.991 0.725
11 Mg 0.831 0.169 0.000
12 Mg 0.831 0.663 0.000
13 Mg 0.839 0.161 0.500
14 Mg 0.839 0.679 0.500
15 Bi 0.333 0.667 0.000
16 C 0.333 0.667 0.500


7.
# Mg6BiC
Calculated X-ray diffraction stick pattern, Cu Ka. Input: a cell relaxed with PBE.
Lines closer than 0.1° are merged.

Most intense lines, 2θ = 10–90°, in order of rising 2θ:
2θ (°)	I_rel
13.29	82
16.07	99
24.42	56
24.86	63
26.07	100
32.47	47
33.88	72
38.65	94

Atomic structure:
a = 4.355 Å, b = 7.317 Å, c = 7.317 Å
α = 48.91°, β = 90.00°, γ = 90.00°
Positions (direct):
1 Mg 0.000 0.000 0.000
2 Mg 0.000 0.499 0.942
3 Mg 0.000 0.942 0.499
4 Mg 0.500 0.120 0.637
5 Mg 0.500 0.142 0.142
6 Mg 0.500 0.637 0.120
7 Bi 0.000 0.484 0.484
8 C 0.500 0.750 0.750


8.
# Mg14BiCO16
Calculated X-ray diffraction stick pattern, Cu Ka. Input: a cell relaxed with PBE.
Lines closer than 0.1° are merged.

Most intense lines, 2θ = 10–90°, in order of rising 2θ:
2θ (°)	I_rel
10.13	83
14.34	27
20.34	26
22.77	70
30.72	53
35.62	29
41.36	100
59.93	58

Atomic structure:
a = 8.736 Å, b = 8.736 Å, c = 4.362 Å
α = 90.00°, β = 90.00°, γ = 90.00°
Positions (direct):
1 Mg 0.000 0.243 0.000
2 Mg 0.000 0.500 0.500
3 Mg 0.000 0.757 0.000
4 Mg 0.233 0.500 0.000
5 Mg 0.236 0.236 0.500
6 Mg 0.236 0.764 0.500
7 Mg 0.243 0.000 0.000
8 Mg 0.500 0.000 0.500
9 Mg 0.500 0.233 0.000
10 Mg 0.500 0.767 0.000
11 Mg 0.757 0.000 0.000
12 Mg 0.764 0.236 0.500
13 Mg 0.764 0.764 0.500
14 Mg 0.767 0.500 0.000
15 Bi 0.500 0.500 0.500
16 C 0.000 0.000 0.500
17 O 0.000 0.000 0.000
18 O 0.000 0.266 0.500
19 O 0.000 0.500 0.000
20 O 0.000 0.734 0.500
21 O 0.235 0.500 0.500
22 O 0.250 0.250 0.000
23 O 0.250 0.750 0.000
24 O 0.266 0.000 0.500
25 O 0.500 0.000 0.000
26 O 0.500 0.235 0.500
27 O 0.500 0.500 0.000
28 O 0.500 0.765 0.500
29 O 0.734 0.000 0.500
30 O 0.750 0.250 0.000
31 O 0.750 0.750 0.000
32 O 0.765 0.500 0.500


9.
# Mg14BiCO16
Calculated X-ray diffraction stick pattern, Cu Ka. Input: a cell relaxed with PBE.
Lines closer than 0.1° are merged.

Most intense lines, 2θ = 10–90°, in order of rising 2θ:
2θ (°)	I_rel
10.24	59
14.28	67
22.86	34
25.09	47
35.62	45
40.53	54
41.77	100
59.61	60

Atomic structure:
a = 4.329 Å, b = 8.642 Å, c = 8.902 Å
α = 90.00°, β = 90.00°, γ = 90.00°
Positions (direct):
1 Mg 0.000 0.000 0.000
2 Mg 0.000 0.234 0.244
3 Mg 0.000 0.234 0.756
4 Mg 0.000 0.500 0.000
5 Mg 0.000 0.766 0.244
6 Mg 0.000 0.766 0.756
7 Mg 0.500 0.000 0.249
8 Mg 0.500 0.000 0.751
9 Mg 0.500 0.229 0.500
10 Mg 0.500 0.244 0.000
11 Mg 0.500 0.500 0.233
12 Mg 0.500 0.500 0.767
13 Mg 0.500 0.756 0.000
14 Mg 0.500 0.771 0.500
15 Bi 0.000 0.500 0.500
16 C 0.000 0.000 0.500
17 O 0.000 0.000 0.219
18 O 0.000 0.000 0.781
19 O 0.000 0.236 0.500
20 O 0.000 0.254 0.000
21 O 0.000 0.500 0.234
22 O 0.000 0.500 0.766
23 O 0.000 0.746 0.000
24 O 0.000 0.764 0.500
25 O 0.500 0.000 0.000
26 O 0.500 0.000 0.500
27 O 0.500 0.250 0.253
28 O 0.500 0.250 0.747
29 O 0.500 0.500 0.000
30 O 0.500 0.500 0.500
31 O 0.500 0.750 0.253
32 O 0.500 0.750 0.747


10.
# RbBiC4S4N4
Calculated X-ray diffraction stick pattern, Cu Ka. Input: a cell relaxed with PBE.
Lines closer than 0.1° are merged.

Most intense lines, 2θ = 10–90°, in order of rising 2θ:
2θ (°)	I_rel
13.87	87
15.68	91
19.42	95
23.77	49
27.96	68
29.70	100
30.69	60
31.18	50

Atomic structure:
a = 7.735 Å, b = 11.299 Å, c = 6.549 Å
α = 90.00°, β = 90.00°, γ = 90.00°
Positions (direct):
1 Rb 0.000 0.000 0.184
2 Rb 0.500 0.500 0.816
3 Bi 0.000 0.500 0.426
4 Bi 0.500 0.000 0.574
5 C 0.035 0.369 0.937
6 C 0.206 0.758 0.616
7 C 0.294 0.258 0.384
8 C 0.465 0.869 0.063
9 C 0.535 0.131 0.063
10 C 0.706 0.742 0.384
11 C 0.794 0.242 0.616
12 C 0.965 0.631 0.937
13 S 0.104 0.662 0.122
14 S 0.164 0.897 0.671
15 S 0.336 0.397 0.329
16 S 0.396 0.162 0.878
17 S 0.604 0.838 0.878
18 S 0.664 0.603 0.329
19 S 0.836 0.103 0.671
20 S 0.896 0.338 0.122
21 N 0.130 0.389 0.801
22 N 0.231 0.657 0.578
23 N 0.269 0.157 0.422
24 N 0.370 0.889 0.199
25 N 0.630 0.111 0.199
26 N 0.731 0.843 0.422
27 N 0.769 0.343 0.578
28 N 0.870 0.611 0.801